Simulated powder X-ray diffraction pattern of V2OF5 for Cu Kα, from a crystal structure in the Materials Project, relaxed with PBE+U.
Intensities are scaled so that the largest is 100.

Structure:
a = 4.857 Å, b = 4.878 Å, c = 10.015 Å
α = 90.00°, β = 118.55°, γ = 90.00°
Space group Pc (No. 7)
Symmetry-distinct sites (fractional):
V1 0.000 0.236 0.000
V2 0.341 0.240 0.360
O1 0.264 0.045 0.481
F1 0.056 0.461 0.850
F2 0.348 0.419 0.183
F3 0.622 0.031 0.846
F4 0.700 0.469 0.490
F5 0.982 0.068 0.174

Top 12 peaks for 10 to 90 degrees two-theta, low angle first:
2θ/deg, I_rel
20.19, 41
20.82, 62
20.96, 18
25.89, 100
33.14, 15
35.69, 21
40.29, 24
40.53, 20
52.20, 29
52.40, 14
53.23, 27
65.66, 20